No. 1
Structure and simulated XRD peak list of Ce2Sb3Pd9 (a cell relaxed with PBE; Cu Kα).

The 10 most intense peaks (10° ≤ 2θ ≤ 90°), by intensity:
2theta, Rel. int.
36.31, 100
38.56, 75
38.74, 31
39.02, 25
31.95, 20
43.28, 19
38.33, 17
44.64, 17
39.18, 14
35.29, 13

abc: 8.064 8.064 9.393
angles: 90.00 90.00 60.30
Element x y z (fractional)
1 Ce 0.019 0.673 0.750
2 Ce 0.327 0.981 0.750
3 Ce 0.673 0.019 0.250
4 Ce 0.981 0.327 0.250
5 Sb 0.000 0.000 0.000
6 Sb 0.000 0.000 0.500
7 Sb 0.322 0.322 0.000
8 Sb 0.322 0.322 0.500
9 Sb 0.678 0.678 0.000
10 Sb 0.678 0.678 0.500
11 Pd 0.001 0.656 0.089
12 Pd 0.001 0.656 0.411
13 Pd 0.148 0.852 0.250
14 Pd 0.331 0.669 0.535
15 Pd 0.331 0.669 0.965
16 Pd 0.344 0.999 0.089
17 Pd 0.344 0.999 0.411
18 Pd 0.364 0.440 0.250
19 Pd 0.440 0.364 0.750
20 Pd 0.560 0.636 0.250
21 Pd 0.636 0.560 0.750
22 Pd 0.656 0.001 0.589
23 Pd 0.656 0.001 0.911
24 Pd 0.669 0.331 0.035
25 Pd 0.669 0.331 0.465
26 Pd 0.852 0.148 0.750
27 Pd 0.999 0.344 0.589
28 Pd 0.999 0.344 0.911

No. 2
Structure and simulated XRD peak list of Ce2Sb4Pd (a cell relaxed with PBE; Cu Kα).

The 10 most intense peaks (10° ≤ 2θ ≤ 90°), by intensity:
2theta, Rel. int.
34.31, 100
40.57, 50
69.80, 25
29.96, 24
35.04, 18
28.50, 17
58.71, 15
57.05, 14
50.32, 14
52.90, 13

abc: 4.448 4.448 9.395
angles: 90.00 90.00 90.00
Element x y z (fractional)
1 Ce 0.000 0.500 0.233
2 Ce 0.500 0.000 0.767
3 Sb 0.000 0.000 0.500
4 Sb 0.000 0.500 0.841
5 Sb 0.500 0.000 0.159
6 Sb 0.500 0.500 0.500
7 Pd 0.500 0.500 0.000